Calculated X-ray diffraction stick pattern of YTi4Cu3O12 for Cu Kα, from a crystal structure in the Materials Project, relaxed with GGA-PBE.

Structure:
Unit cell a=6.469 b=6.469 c=6.469 alpha=109.47 beta=109.47 gamma=109.47
Sites, in units of the cell vectors:
Y1 0.000 0.000 0.000
Ti1 0.000 0.000 0.500
Ti2 0.000 0.500 0.000
Ti3 0.500 0.000 0.000
Ti4 0.500 0.500 0.500
Cu1 0.000 0.500 0.500
Cu2 0.500 0.000 0.500
Cu3 0.500 0.500 0.000
O1 0.119 0.824 0.296
O2 0.176 0.296 0.472
O3 0.176 0.704 0.881
O4 0.296 0.119 0.824
O5 0.296 0.472 0.176
O6 0.472 0.176 0.296
O7 0.528 0.824 0.704
O8 0.704 0.528 0.824
O9 0.704 0.881 0.176
O10 0.824 0.296 0.119
O11 0.824 0.704 0.528
O12 0.881 0.176 0.704

Peak list (9 most intense, 5° ≤ 2θ ≤ 70°, low angle first)
16.8°, I 21
23.8°, I 37
33.9°, I 1000
38.1°, I 62
41.9°, I 87
45.4°, I 52
48.8°, I 290
55.0°, I 20
60.7°, I 487